No. 1
Starting from a structure optimized by DFT (PBE+U), the powder diffractogram of LiFeSiO4 was simulated for Cu Kα (weighted mean of Kα1 and Kα2).

Peak list (10 most intense, 10 to 90 degrees two-theta, in order of rising 2θ)
- 2θ 17.13, rel. 100, (0 0 2)
- 2θ 20.47, rel. 23, (1 0 1)
- 2θ 22.34, rel. 19, (0 1 2)
- 2θ 31.98, rel. 32, (1 0 3)
- 2θ 35.50, rel. 56, (1 2 1)
- 2θ 38.66, rel. 16, (1 2 2)
- 2θ 43.50, rel. 17, (1 2 3)
- 2θ 47.87, rel. 12, (1 0 5)
- 2θ 51.34, rel. 21, (2 2 2)
- 2θ 61.44, rel. 14, (0 2 6)

Structural model:
Lattice parameters (Å, degrees): 4.7795 6.2227 10.3545 90.00 90.00 90.00
Space group P2_12_12_1 (No. 19)
One atom of each set of equivalent atoms:
Li  0.0186  0.0324  0.4662 x4
Fe  0.0019  0.7309  0.7446 x4
Si  0.0828  0.5185  0.3391 x4
O  0.2193  0.7414  0.3973 x4
O  0.2287  0.3012  0.3999 x4
O  0.2392  0.9846  0.6676 x4
O  0.2470  0.5185  0.1914 x4

No. 2
Starting from a structure optimized by DFT (PBE+U), the powder diffractogram of LiFeSiO4 was simulated for Cu Kα (weighted mean of Kα1 and Kα2).

Peak list (10 most intense, 10 to 90 degrees two-theta, in order of rising 2θ)
- 2θ 18.51, rel. 11, (1 0 0)
- 2θ 24.19, rel. 100, (1 0 2)
- 2θ 32.34, rel. 5, (1 1 0)
- 2θ 36.49, rel. 5, (1 0 4)
- 2θ 37.52, rel. 9, (2 0 0)
- 2θ 45.53, rel. 21, (1 1 4)
- 2θ 52.99, rel. 13, (2 1 2)
- 2θ 60.42, rel. 5, (2 1 4)
- 2θ 62.06, rel. 12, (2 0 6)
- 2θ 73.04, rel. 6, (3 1 2)

Structural model:
Lattice parameters (Å, degrees): 5.5360 5.5360 11.4803 90.00 90.00 120.00
Space group P6_422 (No. 181)
One atom of each set of equivalent atoms:
Li  0.0000  0.0000  0.0000 x3
Fe  0.0000  0.5000  0.3333 x3
Si  0.0000  0.5000  0.8333 x3
O  0.1731  0.3962  0.7503 x12

No. 3
Starting from a structure optimized by DFT (PBE+U), the powder diffractogram of LiFeSiO4 was simulated for Cu Kα (weighted mean of Kα1 and Kα2).

Peak list (10 most intense, 10 to 90 degrees two-theta, in order of rising 2θ)
- 2θ 15.56, rel. 68, (2 0 0)
- 2θ 23.48, rel. 100, (2 0 1)
- 2θ 29.44, rel. 26, (0 2 0)
- 2θ 33.47, rel. 39, (2 2 0)
- 2θ 35.39, rel. 29, (0 0 2)
- 2θ 36.17, rel. 16, (4 0 1)
- 2θ 38.00, rel. 21, (2 2 1)
- 2θ 47.31, rel. 22, (4 2 1)
- 2θ 57.24, rel. 17, (6 2 0)
- 2θ 65.26, rel. 13, (2 2 3)

Structural model:
Lattice parameters (Å, degrees): 11.3912 6.0673 5.0733 90.00 90.00 90.00
Space group Pna2_1 (No. 33)
One atom of each set of equivalent atoms:
Li  0.0810  0.2492  0.0000 x4
Fe  0.1739  0.9876  0.5018 x4
Si  0.1655  0.4910  0.5036 x4
O  0.0900  0.7173  0.4376 x4
O  0.1044  0.2617  0.3920 x4
O  0.1805  0.4712  0.8247 x4
O  0.2019  0.0111  0.8710 x4

No. 4
Starting from a structure optimized by DFT (PBE+U), the powder diffractogram of LiFeSi3O8 was simulated for Cu Kα (weighted mean of Kα1 and Kα2).

Peak list (10 most intense, 10 to 90 degrees two-theta, in order of rising 2θ)
- 2θ 15.12, rel. 19, (1 1 1)
- 2θ 22.37, rel. 95, (2 0 0)
- 2θ 23.62, rel. 100, (1 1 -3)
- 2θ 26.66, rel. 79, (0 4 0)
- 2θ 27.36, rel. 58, (2 0 2)
- 2θ 27.68, rel. 72, (0 0 4)
- 2θ 28.64, rel. 19, (2 2 -2)
- 2θ 30.34, rel. 23, (1 3 -3)
- 2θ 35.07, rel. 33, (2 4 0)
- 2θ 49.97, rel. 20, (2 0 6)

Structural model:
Lattice parameters (Å, degrees): 7.9799 13.3725 12.9401 90.00 94.97 90.00
Space group C2/c (No. 15)
One atom of each set of equivalent atoms:
Li  0.0560  0.2487  0.0723 x8
Fe  0.2495  0.1402  0.6662 x8
Si  0.1378  0.4191  0.8858 x8
Si  0.1580  0.0883  0.8967 x8
Si  0.2416  0.3704  0.6631 x8
O  0.0333  0.1270  0.6020 x8
O  0.0455  0.3639  0.6136 x8
O  0.1163  0.4610  0.3831 x8
O  0.1605  0.2312  0.3683 x8
O  0.1623  0.0336  0.3822 x8
O  0.2364  0.3551  0.1879 x8
O  0.2419  0.3784  0.7898 x8
O  0.2472  0.3746  0.9898 x8

No. 5
Starting from a structure optimized by DFT (PBE+U), the powder diffractogram of LiFeSiO4 was simulated for Cu Kα (weighted mean of Kα1 and Kα2).

Peak list (10 most intense, 10 to 90 degrees two-theta, in order of rising 2θ)
- 2θ 21.46, rel. 100, (2 0 -2)
- 2θ 21.86, rel. 95, (1 1 0)
- 2θ 27.74, rel. 15, (0 1 2)
- 2θ 27.82, rel. 24, (2 1 -1)
- 2θ 31.59, rel. 31, (3 0 -2)
- 2θ 34.12, rel. 31, (2 0 -4)
- 2θ 35.15, rel. 33, (0 2 0)
- 2θ 38.79, rel. 12, (2 1 1)
- 2θ 41.57, rel. 13, (2 2 -2)
- 2θ 54.60, rel. 12, (4 0 0)

Structural model:
Lattice parameters (Å, degrees): 8.5256 5.1062 10.5110 90.00 127.95 90.00
Space group Pc (No. 7)
One atom of each set of equivalent atoms:
Li  0.0000  0.0553  0.0000 x2
Li  0.5055  0.4294  0.0571 x2
Fe  0.4972  0.0679  0.7397 x2
Fe  0.9992  0.4340  0.8047 x2
Si  0.2514  0.0679  0.3694 x2
Si  0.7500  0.4314  0.4306 x2
O  0.0503  0.0668  0.8305 x2
O  0.2391  0.3871  0.3841 x2
O  0.2661  0.0042  0.7244 x2
O  0.4460  0.0461  0.0443 x2
O  0.5543  0.4326  0.7659 x2
O  0.7344  0.1116  0.4041 x2
O  0.7661  0.4930  0.0909 x2
O  0.9499  0.4593  0.9573 x2

No. 6
Starting from a structure optimized by DFT (PBE+U), the powder diffractogram of LiFeSiO4 was simulated for Cu Kα (weighted mean of Kα1 and Kα2).

Peak list (10 most intense, 10 to 90 degrees two-theta, in order of rising 2θ)
- 2θ 19.43, rel. 42, (2 0 0)
- 2θ 20.53, rel. 100, (1 0 1)
- 2θ 24.96, rel. 61, (1 1 1)
- 2θ 34.56, rel. 97, (2 2 0)
- 2θ 34.66, rel. 92, (3 0 1)
- 2θ 35.21, rel. 65, (1 2 1)
- 2θ 39.26, rel. 37, (2 2 1)
- 2θ 51.21, rel. 47, (2 2 2)
- 2θ 61.63, rel. 42, (5 2 1)
- 2θ 64.98, rel. 36, (1 2 3)

Structural model:
Lattice parameters (Å, degrees): 9.1347 6.3086 4.9120 90.00 90.00 90.00
Space group Pnma (No. 62)
One atom of each set of equivalent atoms:
Li  0.1671  0.2500  0.0225 x4
Fe  0.0000  0.0000  0.5000 x4
Si  0.1768  0.7500  0.0246 x4
O  0.1161  0.5359  0.1734 x8
O  0.1272  0.7500  0.6976 x4
O  0.1417  0.2500  0.5930 x4

No. 7
Starting from a structure optimized by DFT (PBE+U), the powder diffractogram of LiFeSiO4 was simulated for Cu Kα (weighted mean of Kα1 and Kα2).

Peak list (10 most intense, 10 to 90 degrees two-theta, in order of rising 2θ)
- 2θ 20.68, rel. 100, (0 1 1)
- 2θ 21.53, rel. 88, (1 0 0)
- 2θ 27.06, rel. 16, (1 1 0)
- 2θ 30.51, rel. 24, (0 1 2)
- 2θ 32.75, rel. 16, (0 2 0)
- 2θ 34.95, rel. 24, (2 0 -2)
- 2θ 35.27, rel. 33, (1 1 -3)
- 2θ 40.96, rel. 13, (2 1 -3)
- 2θ 51.79, rel. 9, (0 2 3)
- 2θ 57.07, rel. 10, (0 3 2)

Structural model:
Lattice parameters (Å, degrees): 5.1348 5.4687 8.6234 90.00 126.40 90.00
Space group Pc (No. 7)
One atom of each set of equivalent atoms:
Li  0.0000  0.0932  0.0000 x2
Fe  0.6932  0.3143  0.1811 x2
Si  0.4427  0.1826  0.4317 x2
O  0.0903  0.1800  0.3970 x2
O  0.3743  0.2573  0.2242 x2
O  0.6027  0.0941  0.9837 x2
O  0.6960  0.3662  0.6084 x2

No. 8
Starting from a structure optimized by DFT (PBE+U), the powder diffractogram of LiFeSiO4 was simulated for Cu Kα (weighted mean of Kα1 and Kα2).

Peak list (10 most intense, 10 to 90 degrees two-theta, in order of rising 2θ)
- 2θ 15.67, rel. 89, (0 1 1)
- 2θ 21.65, rel. 75, (0 2 1)
- 2θ 21.94, rel. 85, (1 0 -2)
- 2θ 23.37, rel. 100, (1 1 0)
- 2θ 23.59, rel. 32, (1 1 -2)
- 2θ 29.08, rel. 59, (0 3 1)
- 2θ 31.64, rel. 69, (0 2 2)
- 2θ 34.69, rel. 46, (0 4 0)
- 2θ 35.16, rel. 63, (2 0 -2)
- 2θ 60.27, rel. 36, (0 6 2)

Structural model:
Lattice parameters (Å, degrees): 5.1046 10.3443 8.4220 90.00 126.66 90.00
Space group P2_1/c (No. 14)
One atom of each set of equivalent atoms:
Li  0.1951  0.1524  0.0076 x4
Fe  0.3050  0.6658  0.9908 x4
Si  0.0478  0.5917  0.2359 x4
O  0.0178  0.5631  0.7595 x4
O  0.1345  0.6626  0.4374 x4
O  0.2775  0.1643  0.4564 x4
O  0.3569  0.6164  0.2255 x4

What did the third record say?
Starting from a structure optimized by DFT (PBE+U), the powder diffractogram of LiFeSiO4 was simulated for Cu Kα (weighted mean of Kα1 and Kα2).

Peak list (10 most intense, 10 to 90 degrees two-theta, in order of rising 2θ)
- 2θ 15.56, rel. 68, (2 0 0)
- 2θ 23.48, rel. 100, (2 0 1)
- 2θ 29.44, rel. 26, (0 2 0)
- 2θ 33.47, rel. 39, (2 2 0)
- 2θ 35.39, rel. 29, (0 0 2)
- 2θ 36.17, rel. 16, (4 0 1)
- 2θ 38.00, rel. 21, (2 2 1)
- 2θ 47.31, rel. 22, (4 2 1)
- 2θ 57.24, rel. 17, (6 2 0)
- 2θ 65.26, rel. 13, (2 2 3)

Structural model:
Lattice parameters (Å, degrees): 11.3912 6.0673 5.0733 90.00 90.00 90.00
Space group Pna2_1 (No. 33)
One atom of each set of equivalent atoms:
Li  0.0810  0.2492  0.0000 x4
Fe  0.1739  0.9876  0.5018 x4
Si  0.1655  0.4910  0.5036 x4
O  0.0900  0.7173  0.4376 x4
O  0.1044  0.2617  0.3920 x4
O  0.1805  0.4712  0.8247 x4
O  0.2019  0.0111  0.8710 x4